Ba4HoRu3O12: calculated powder X-ray diffraction pattern (Cu Kα (λ = 1.5418 Å)), based on a structure optimized by DFT (GGA-PBE).
Intensities are scaled so that the largest is 100.

Structure:
a = 10.3943 Å, b = 10.3943 Å, c = 10.3943 Å
α = 33.22°, β = 33.22°, γ = 33.22°
Fractional positions:
Ba: 0.1292 0.1292 0.1292
Ba: 0.2855 0.2855 0.2855
Ba: 0.7145 0.7145 0.7145
Ba: 0.8708 0.8708 0.8708
Ho: 0.0000 0.0000 0.0000
Ru: 0.4131 0.4131 0.4131
Ru: 0.5000 0.5000 0.5000
Ru: 0.5869 0.5869 0.5869
O: 0.1474 0.6125 0.6125
O: 0.2185 0.2185 0.6925
O: 0.2185 0.6925 0.2185
O: 0.3075 0.7815 0.7815
O: 0.3875 0.3875 0.8526
O: 0.3875 0.8526 0.3875
O: 0.6125 0.1474 0.6125
O: 0.6125 0.6125 0.1474
O: 0.6925 0.2185 0.2185
O: 0.7815 0.3075 0.7815
O: 0.7815 0.7815 0.3075
O: 0.8526 0.3875 0.3875

Peak list (8 most intense, 10 to 80 degrees two-theta, low angle first)
two_theta  d [Å]  intensity
27.4  3.256  61.2
29.9  2.993  17.3
30.1  2.971  100.0
35.1  2.555  16.4
41.1  2.195  36.3
51.8  1.765  20.6
53.4  1.715  19.9
62.5  1.485  19.5